LiV3P5O19: computed powder X-ray diffraction pattern (CuKα), based on a DFT-relaxed cell (GGA+U, the Materials Project).
Intensities are scaled so that the largest is 100.

Main lines, in order of rising 2θ (10 to 90 degrees two-theta):
2θ/deg, I/Imax
11.7, 100
14.5, 84
16.4, 46
19.9, 38
21.2, 89
23.5, 60
24.2, 18
28.9, 59
32.1, 16
33.0, 29

Atomic structure:
abc: 8.5034 8.5034 6.3529
angles: 98.41 98.41 113.95
Element x y z (fractional)
1 Li 0.0000 0.0000 0.0000
2 V 0.1484 0.3926 0.6506
3 V 0.3926 0.1484 0.6506
4 V 0.6695 0.6695 0.3157
5 P 0.0880 0.7176 0.4717
6 P 0.2194 0.5119 0.1992
7 P 0.5119 0.2194 0.1992
8 P 0.5768 0.5768 0.7757
9 P 0.7176 0.0880 0.4717
10 O 0.0680 0.5868 0.6151
11 O 0.1364 0.4235 0.9605
12 O 0.1511 0.6600 0.2568
13 O 0.1517 0.3727 0.3344
14 O 0.2243 0.2243 0.6611
15 O 0.2266 0.9022 0.5866
16 O 0.3727 0.1517 0.3344
17 O 0.3907 0.5721 0.7334
18 O 0.4207 0.6126 0.2497
19 O 0.4235 0.1364 0.9605
20 O 0.5721 0.3907 0.7334
21 O 0.5868 0.0680 0.6151
22 O 0.6126 0.4207 0.2497
23 O 0.6600 0.1511 0.2568
24 O 0.6824 0.6824 0.0101
25 O 0.6844 0.6844 0.6263
26 O 0.7281 0.9181 0.3727
27 O 0.9022 0.2266 0.5866
28 O 0.9181 0.7281 0.3727

***

LiVP3O9: computed powder X-ray diffraction pattern (CuKα), based on a DFT-relaxed cell (GGA+U, the Materials Project).
Intensities are scaled so that the largest is 100.

Main lines, in order of rising 2θ (10 to 90 degrees two-theta):
2θ/deg, I/Imax
14.1, 40
17.1, 100
17.6, 49
19.2, 15
23.9, 40
24.1, 10
30.0, 48
31.0, 14
31.9, 11
34.5, 16

Atomic structure:
abc: 9.2419 7.3693 12.0656
angles: 90.00 90.00 90.00
Element x y z (fractional)
1 Li 0.0318 0.2500 0.0322
2 Li 0.4682 0.7500 0.5322
3 Li 0.5318 0.2500 0.4678
4 Li 0.9682 0.7500 0.9678
5 V 0.0194 0.7500 0.2096
6 V 0.4806 0.2500 0.7096
7 V 0.5194 0.7500 0.2904
8 V 0.9806 0.2500 0.7904
9 P 0.1953 0.2500 0.5418
10 P 0.2492 0.0466 0.3484
11 P 0.2492 0.4534 0.3484
12 P 0.2508 0.5466 0.8484
13 P 0.2508 0.9534 0.8484
14 P 0.3047 0.7500 0.0418
15 P 0.6953 0.2500 0.9582
16 P 0.7492 0.0466 0.1516
17 P 0.7492 0.4534 0.1516
18 P 0.7508 0.5466 0.6516
19 P 0.7508 0.9534 0.6516
20 P 0.8047 0.7500 0.4582
21 O 0.0976 0.2500 0.6387
22 O 0.1160 0.0556 0.8815
23 O 0.1160 0.4444 0.8815
24 O 0.1423 0.7500 0.0566
25 O 0.1513 0.5224 0.2599
26 O 0.1513 0.9776 0.2599
27 O 0.1555 0.0812 0.4606
28 O 0.1555 0.4188 0.4606
29 O 0.1962 0.7500 0.8144
30 O 0.3038 0.2500 0.3144
31 O 0.3445 0.5812 0.9606
32 O 0.3445 0.9188 0.9606
33 O 0.3487 0.0224 0.7599
34 O 0.3487 0.4776 0.7599
35 O 0.3577 0.2500 0.5566
36 O 0.3840 0.5556 0.3815
37 O 0.3840 0.9444 0.3815
38 O 0.4024 0.7500 0.1387
39 O 0.5976 0.2500 0.8613
40 O 0.6160 0.0556 0.6185
41 O 0.6160 0.4444 0.6185
42 O 0.6423 0.7500 0.4434
43 O 0.6513 0.5224 0.2401
44 O 0.6513 0.9776 0.2401
45 O 0.6555 0.0812 0.0394
46 O 0.6555 0.4188 0.0394
47 O 0.6962 0.7500 0.6856
48 O 0.8038 0.2500 0.1856
49 O 0.8445 0.5812 0.5394
50 O 0.8445 0.9188 0.5394
51 O 0.8487 0.0224 0.7401
52 O 0.8487 0.4776 0.7401
53 O 0.8577 0.2500 0.9434
54 O 0.8840 0.5556 0.1185
55 O 0.8840 0.9444 0.1185
56 O 0.9024 0.7500 0.3613

***

Li3V4P6O24: computed powder X-ray diffraction pattern (CuKα), based on a DFT-relaxed cell (GGA+U, the Materials Project).
Intensities are scaled so that the largest is 100.

Main lines, in order of rising 2θ (10 to 90 degrees two-theta):
2θ/deg, I/Imax
14.5, 31
20.5, 49
20.7, 25
20.9, 60
24.1, 34
24.2, 69
24.3, 100
31.9, 31
33.3, 24
36.0, 37

Atomic structure:
abc: 8.5071 8.5338 8.5756
angles: 60.64 60.88 60.98
Element x y z (fractional)
1 Li 0.0000 0.0000 0.0000
2 Li 0.2592 0.6276 0.8409
3 Li 0.5225 0.4911 0.4809
4 V 0.1433 0.1282 0.1463
5 V 0.3702 0.3535 0.3534
6 V 0.6498 0.6295 0.6405
7 V 0.8628 0.8567 0.8496
8 P 0.0537 0.4491 0.7484
9 P 0.2570 0.9508 0.5344
10 P 0.4595 0.7420 0.0362
11 P 0.5472 0.2367 0.9663
12 P 0.7542 0.0371 0.4588
13 P 0.9683 0.5298 0.2478
14 O 0.0047 0.3642 0.1945
15 O 0.0336 0.6146 0.7953
16 O 0.0752 0.2586 0.9148
17 O 0.0975 0.9319 0.7329
18 O 0.1362 0.4962 0.2981
19 O 0.1875 0.9818 0.3831
20 O 0.2420 0.4274 0.5799
21 O 0.2689 0.9073 0.0614
22 O 0.3205 0.1137 0.4857
23 O 0.3845 0.1690 0.0225
24 O 0.4132 0.7535 0.5593
25 O 0.4527 0.5796 0.2303
26 O 0.4735 0.6838 0.8860
27 O 0.5212 0.2990 0.1217
28 O 0.5408 0.4074 0.7788
29 O 0.5927 0.2305 0.4414
30 O 0.6341 0.7976 0.9782
31 O 0.6909 0.8746 0.5102
32 O 0.7423 0.0767 0.9405
33 O 0.7779 0.5512 0.4086
34 O 0.8208 0.0046 0.6165
35 O 0.8836 0.4864 0.7049
36 O 0.9163 0.0500 0.2655
37 O 0.9610 0.7169 0.0731